Starting from a crystal structure in the Materials Project, relaxed with PBE+U, the XRD peak list of Ca2Ta2VO8 was computed for copper Kα.
Peak positions follow from Bragg's law for the DFT cell and can differ from measured ones.

Cell: 10.070 10.070 5.527 Å, 91.43 91.43 36.68°
Fractional coordinates of all 26 atoms:
1 Ca 0.028 0.389 0.243
2 Ca 0.389 0.028 0.743
3 Ca 0.611 0.972 0.257
4 Ca 0.972 0.611 0.757
5 Ta 0.238 0.537 0.241
6 Ta 0.463 0.762 0.259
7 Ta 0.537 0.238 0.741
8 Ta 0.762 0.463 0.759
9 V 0.134 0.866 0.750
10 V 0.866 0.134 0.250
11 O 0.033 0.338 0.845
12 O 0.089 0.796 0.403
13 O 0.204 0.911 0.097
14 O 0.257 0.381 0.498
15 O 0.304 0.555 0.908
16 O 0.338 0.033 0.345
17 O 0.381 0.257 0.998
18 O 0.445 0.696 0.592
19 O 0.555 0.304 0.408
20 O 0.619 0.743 0.002
21 O 0.662 0.967 0.655
22 O 0.696 0.445 0.092
23 O 0.743 0.619 0.502
24 O 0.796 0.089 0.903
25 O 0.911 0.204 0.597
26 O 0.967 0.662 0.155

Main lines, sorted by position (10° ≤ 2θ ≤ 80°):
| 2θ/deg | intensity |
| --- | --- |
| 14.73 | 66 |
| 18.57 | 82 |
| 21.75 | 64 |
| 27.25 | 73 |
| 31.46 | 95 |
| 32.10 | 80 |
| 32.41 | 65 |
| 32.58 | 100 |
| 37.98 | 51 |
| 57.93 | 46 |

=====

Starting from a crystal structure in the Materials Project, relaxed with PBE+U, the XRD peak list of Li7Mn4P6O24 was computed for copper Kα.
Peak positions follow from Bragg's law for the DFT cell and can differ from measured ones.

Cell: 8.413 8.462 8.980 Å, 64.19 63.18 60.80°
Fractional coordinates of all 41 atoms:
1 Li 0.000 0.000 0.000
2 Li 0.061 0.406 0.717
3 Li 0.255 0.338 0.000
4 Li 0.408 0.799 0.724
5 Li 0.599 0.741 0.001
6 Li 0.664 0.140 0.724
7 Li 0.871 0.621 0.232
8 Mn 0.178 0.921 0.305
9 Mn 0.482 0.215 0.424
10 Mn 0.678 0.416 0.820
11 Mn 0.993 0.730 0.884
12 P 0.083 0.112 0.609
13 P 0.286 0.613 0.121
14 P 0.379 0.518 0.612
15 P 0.576 0.029 0.119
16 P 0.784 0.818 0.613
17 P 0.868 0.325 0.114
18 O 0.076 0.204 0.118
19 O 0.129 0.928 0.761
20 O 0.139 0.069 0.439
21 O 0.148 0.579 0.076
22 O 0.186 0.820 0.138
23 O 0.193 0.509 0.766
24 O 0.200 0.221 0.587
25 O 0.328 0.467 0.284
26 O 0.343 0.674 0.451
27 O 0.454 0.927 0.137
28 O 0.471 0.618 0.961
29 O 0.482 0.315 0.586
30 O 0.509 0.549 0.671
31 O 0.511 0.077 0.288
32 O 0.543 0.212 0.962
33 O 0.581 0.935 0.595
34 O 0.727 0.257 0.279
35 O 0.778 0.863 0.769
36 O 0.790 0.897 0.081
37 O 0.827 0.536 0.079
38 O 0.827 0.604 0.662
39 O 0.865 0.294 0.951
40 O 0.866 0.230 0.663
41 O 0.937 0.872 0.447

Main lines, sorted by position (10° ≤ 2θ ≤ 80°):
| 2θ/deg | intensity |
| --- | --- |
| 14.23 | 100 |
| 14.44 | 47 |
| 19.20 | 54 |
| 19.56 | 51 |
| 19.92 | 49 |
| 23.64 | 84 |
| 23.97 | 81 |
| 24.34 | 76 |
| 30.97 | 41 |
| 31.22 | 45 |

=====

Starting from a crystal structure in the Materials Project, relaxed with PBE+U, the XRD peak list of Li2Ti3CoO8 was computed for copper Kα.
Peak positions follow from Bragg's law for the DFT cell and can differ from measured ones.

Cell: 5.943 5.943 9.762 Å, 90.02 90.02 60.01°
Fractional coordinates of all 28 atoms:
1 Li 0.000 0.000 0.000
2 Li 0.000 0.000 0.500
3 Li 0.334 0.334 0.891
4 Li 0.667 0.667 0.390
5 Ti 0.168 0.664 0.216
6 Ti 0.169 0.169 0.216
7 Ti 0.337 0.833 0.717
8 Ti 0.664 0.168 0.216
9 Ti 0.831 0.831 0.716
10 Ti 0.833 0.337 0.717
11 Co 0.334 0.334 0.496
12 Co 0.665 0.665 0.993
13 O 0.000 0.000 0.316
14 O 0.000 0.000 0.816
15 O 0.035 0.483 0.329
16 O 0.158 0.158 0.608
17 O 0.158 0.684 0.608
18 O 0.316 0.843 0.108
19 O 0.334 0.334 0.105
20 O 0.483 0.035 0.329
21 O 0.483 0.483 0.329
22 O 0.517 0.965 0.829
23 O 0.518 0.518 0.829
24 O 0.667 0.667 0.606
25 O 0.684 0.158 0.608
26 O 0.842 0.842 0.108
27 O 0.843 0.316 0.108
28 O 0.965 0.517 0.829

Main lines, sorted by position (10° ≤ 2θ ≤ 80°):
| 2θ/deg | intensity |
| --- | --- |
| 18.17 | 56 |
| 19.50 | 100 |
| 25.14 | 34 |
| 32.55 | 40 |
| 35.36 | 63 |
| 36.09 | 39 |
| 39.59 | 41 |
| 44.90 | 54 |
| 59.42 | 47 |
| 62.51 | 42 |

=====

Starting from a crystal structure in the Materials Project, relaxed with PBE+U, the XRD peak list of RbMoAsO6 was computed for copper Kα.
Peak positions follow from Bragg's law for the DFT cell and can differ from measured ones.

Cell: 10.600 10.051 8.680 Å, 68.48 61.89 49.62°
Fractional coordinates of all 36 atoms:
1 Rb 0.077 0.673 0.673
2 Rb 0.327 0.923 0.923
3 Rb 0.673 0.077 0.077
4 Rb 0.923 0.327 0.327
5 Mo 0.154 0.596 0.154
6 Mo 0.404 0.846 0.404
7 Mo 0.596 0.154 0.596
8 Mo 0.846 0.404 0.846
9 As 0.246 0.246 0.504
10 As 0.496 0.496 0.754
11 As 0.504 0.504 0.246
12 As 0.754 0.754 0.496
13 O 0.017 0.339 0.604
14 O 0.048 0.557 0.092
15 O 0.092 0.803 0.048
16 O 0.197 0.908 0.443
17 O 0.282 0.316 0.285
18 O 0.285 0.617 0.282
19 O 0.316 0.282 0.617
20 O 0.339 0.017 0.540
21 O 0.383 0.715 0.684
22 O 0.396 0.460 0.983
23 O 0.443 0.952 0.197
24 O 0.460 0.396 0.661
25 O 0.540 0.604 0.339
26 O 0.557 0.048 0.803
27 O 0.604 0.540 0.017
28 O 0.617 0.285 0.316
29 O 0.661 0.983 0.460
30 O 0.684 0.718 0.383
31 O 0.715 0.383 0.718
32 O 0.718 0.684 0.715
33 O 0.803 0.092 0.557
34 O 0.908 0.197 0.952
35 O 0.952 0.443 0.908
36 O 0.983 0.661 0.396

Main lines, sorted by position (10° ≤ 2θ ≤ 80°):
| 2θ/deg | intensity |
| --- | --- |
| 11.61 | 39 |
| 19.04 | 17 |
| 20.70 | 19 |
| 25.14 | 29 |
| 27.09 | 58 |
| 29.94 | 100 |
| 34.78 | 13 |
| 42.16 | 21 |
| 49.66 | 19 |
| 52.04 | 16 |